# Tb2Sm15Tm2
Computed powder diffraction line list, Cu Kα. Input: a PBE-relaxed structure.
Peak positions follow from Bragg's law for the DFT cell and can differ from measured ones.

The 10 most intense peaks (2θ from 10° to 90°), low angle first:
- 2θ 27.01, intensity 29
- 2θ 27.57, intensity 31
- 2θ 29.76, intensity 23
- 2θ 30.91, intensity 76
- 2θ 31.41, intensity 100
- 2θ 31.94, intensity 59
- 2θ 33.87, intensity 21
- 2θ 35.35, intensity 60
- 2θ 56.28, intensity 23
- 2θ 56.92, intensity 26

```
19
Lattice="5.6044 3.2357 6.0041 -5.6044 3.2357 6.0041 0.0000 -6.4714 6.0041" Properties=species:S:1:pos:R:3 pbc="T T T"
Tb 0.0000 0.0000 3.3122
Tb 0.0000 0.0000 14.7003
Sm -2.8022 -1.6178 6.0041
Sm 0.0000 -3.4304 5.3977
Sm -2.9709 1.7152 5.3977
Sm -1.6563 -2.8688 9.0062
Sm -3.3126 0.0000 9.0062
Sm -2.9708 -1.7152 12.6148
Sm -2.8022 1.6178 12.0083
Sm 1.6563 -2.8687 9.0062
Sm 0.0000 3.2357 6.0041
Sm -1.6563 2.8687 9.0062
Sm 2.9708 1.7152 5.3977
Sm 3.3125 0.0000 9.0062
Sm 1.6563 2.8687 9.0062
Sm 2.9709 -1.7152 12.6148
Sm 0.0000 3.4304 12.6148
Tm 0.0000 0.0000 7.3224
Tm 0.0000 0.0000 10.6900
```


# HoZn10Ni2
Computed powder diffraction line list, Cu Kα. Input: a PBE-relaxed structure.
Peak positions follow from Bragg's law for the DFT cell and can differ from measured ones.

The 10 most intense peaks (2θ from 10° to 90°), low angle first:
- 2θ 35.04, intensity 39
- 2θ 35.74, intensity 51
- 2θ 38.14, intensity 73
- 2θ 40.60, intensity 29
- 2θ 40.80, intensity 55
- 2θ 40.97, intensity 69
- 2θ 41.11, intensity 55
- 2θ 41.40, intensity 100
- 2θ 41.76, intensity 47
- 2θ 46.11, intensity 72

```
26
Lattice="4.3917 -5.1200 0.0000 4.3917 5.1200 0.0000 0.0000 0.0000 8.6511" Properties=species:S:1:pos:R:3 pbc="T T T"
Ho 4.3917 3.8165 6.4883
Ho 4.3917 -3.8165 2.1628
Zn 2.3796 1.3372 6.4883
Zn 4.3917 3.5696 0.8567
Zn 4.3917 3.5696 3.4688
Zn 3.0481 1.3064 2.1628
Zn 1.9926 0.0000 0.0000
Zn 1.9926 0.0000 4.3255
Zn 4.3917 1.2785 4.7000
Zn 4.3917 1.2785 8.2766
Zn 2.3796 -1.3372 2.1628
Zn 3.0481 -1.3064 6.4883
Zn 5.7352 1.3064 2.1628
Zn 6.4038 1.3372 6.4883
Zn 4.3917 -1.2785 0.3745
Zn 4.3917 -1.2785 3.9511
Zn 6.7907 0.0000 0.0000
Zn 6.7907 0.0000 4.3255
Zn 5.7352 -1.3064 6.4883
Zn 4.3917 -3.5696 5.1823
Zn 4.3917 -3.5696 7.7943
Zn 6.4038 -1.3372 2.1628
Ni 2.1958 2.5600 0.0000
Ni 2.1958 2.5600 4.3255
Ni 2.1958 -2.5600 0.0000
Ni 2.1958 -2.5600 4.3255
```